For Er2PbI3, a structure optimized by DFT (PBE) gives the simulated PXRD pattern in this record (Cu Kα X-rays).
Neutral-atom scattering factors, no anomalous dispersion.

Cell and atoms:
```
data_Er2PbI3
_space_group_name_H-M_alt 'P 1'
_space_group_IT_number 1
_cell_length_a 10.9115
_cell_length_b 10.9115
_cell_length_c 15.6554
_cell_angle_alpha 131.32
_cell_angle_beta 131.32
_cell_angle_gamma 21.26
loop_
_space_group_symop_operation_xyz
'x,y,z'
loop_
_atom_site_label
_atom_site_type_symbol
_atom_site_fract_x
_atom_site_fract_y
_atom_site_fract_z
Er1 Er 0.0920 0.0920 0.2380
Er2 Er 0.3738 0.3738 0.0789
Er3 Er 0.6262 0.6262 0.9211
Er4 Er 0.9080 0.9080 0.7620
Pb1 Pb 0.0815 0.0815 0.0244
Pb2 Pb 0.9185 0.9185 0.9756
I1 I 0.1894 0.1894 0.8431
I2 I 0.2672 0.2672 0.6487
I3 I 0.4614 0.4614 0.6678
I4 I 0.5386 0.5386 0.3322
I5 I 0.7328 0.7328 0.3513
I6 I 0.8106 0.8106 0.1569
```

The 8 most intense peaks (2θ = 15–90°), sorted by position:
- 2θ = 25.68°, rel. 1000
- 2θ = 28.22°, rel. 591
- 2θ = 30.73°, rel. 609
- 2θ = 32.77°, rel. 678
- 2θ = 35.41°, rel. 550
- 2θ = 37.18°, rel. 387
- 2θ = 41.60°, rel. 502
- 2θ = 41.90°, rel. 674

For Sc5Zn24, a structure optimized by DFT (PBE) gives the simulated PXRD pattern in this record (Cu Kα X-rays).
Neutral-atom scattering factors, no anomalous dispersion.

Cell and atoms:
```
data_Sc5Zn24
_space_group_name_H-M_alt 'P 1'
_space_group_IT_number 1
_cell_length_a 8.4586
_cell_length_b 8.4586
_cell_length_c 8.4586
_cell_angle_alpha 109.47
_cell_angle_beta 109.47
_cell_angle_gamma 109.47
loop_
_space_group_symop_operation_xyz
'x,y,z'
loop_
_atom_site_label
_atom_site_type_symbol
_atom_site_fract_x
_atom_site_fract_y
_atom_site_fract_z
Sc1 Sc 0.0000 0.0000 0.0000
Sc2 Sc 0.0000 0.0000 0.6152
Sc3 Sc 0.0000 0.6152 0.0000
Sc4 Sc 0.3848 0.3848 0.3848
Sc5 Sc 0.6152 0.0000 0.0000
Zn1 Zn 0.0000 0.1922 0.3699
Zn2 Zn 0.0000 0.3699 0.1922
Zn3 Zn 0.0000 0.3801 0.6744
Zn4 Zn 0.0000 0.6744 0.3801
Zn5 Zn 0.1777 0.8078 0.8078
Zn6 Zn 0.1922 0.0000 0.3699
Zn7 Zn 0.1922 0.3699 0.0000
Zn8 Zn 0.2943 0.6199 0.6199
Zn9 Zn 0.3256 0.3256 0.7057
Zn10 Zn 0.3256 0.7057 0.3256
Zn11 Zn 0.3699 0.0000 0.1922
Zn12 Zn 0.3699 0.1922 0.0000
Zn13 Zn 0.3801 0.0000 0.6744
Zn14 Zn 0.3801 0.6744 0.0000
Zn15 Zn 0.6199 0.2943 0.6199
Zn16 Zn 0.6199 0.6199 0.2943
Zn17 Zn 0.6301 0.6301 0.8223
Zn18 Zn 0.6301 0.8223 0.6301
Zn19 Zn 0.6744 0.0000 0.3801
Zn20 Zn 0.6744 0.3801 0.0000
Zn21 Zn 0.7057 0.3256 0.3256
Zn22 Zn 0.8078 0.1777 0.8078
Zn23 Zn 0.8078 0.8078 0.1777
Zn24 Zn 0.8223 0.6301 0.6301
```

The 8 most intense peaks (2θ = 15–90°), sorted by position:
- 2θ = 39.13°, rel. 1000
- 2θ = 43.46°, rel. 273
- 2θ = 45.50°, rel. 96
- 2θ = 47.46°, rel. 229
- 2θ = 67.85°, rel. 72
- 2θ = 70.90°, rel. 265
- 2θ = 72.41°, rel. 62
- 2θ = 84.09°, rel. 105

For YHf2Au, a structure optimized by DFT (PBE) gives the simulated PXRD pattern in this record (Cu Kα X-rays).
Neutral-atom scattering factors, no anomalous dispersion.

Cell and atoms:
```
data_YHf2Au
_space_group_name_H-M_alt 'P 1'
_space_group_IT_number 1
_cell_length_a 8.1725
_cell_length_b 8.1725
_cell_length_c 5.9770
_cell_angle_alpha 90.00
_cell_angle_beta 90.00
_cell_angle_gamma 90.00
loop_
_space_group_symop_operation_xyz
'x,y,z'
loop_
_atom_site_label
_atom_site_type_symbol
_atom_site_fract_x
_atom_site_fract_y
_atom_site_fract_z
Y1 Y 0.0000 0.0000 0.0000
Y2 Y 0.0000 0.5000 0.2500
Y3 Y 0.5000 0.0000 0.7500
Y4 Y 0.5000 0.5000 0.5000
Hf1 Hf 0.1962 0.7500 0.6250
Hf2 Hf 0.2500 0.1962 0.3750
Hf3 Hf 0.2500 0.3038 0.8750
Hf4 Hf 0.3038 0.7500 0.1250
Hf5 Hf 0.6962 0.2500 0.1250
Hf6 Hf 0.7500 0.6962 0.8750
Hf7 Hf 0.7500 0.8038 0.3750
Hf8 Hf 0.8038 0.2500 0.6250
Au1 Au 0.0000 0.0000 0.5000
Au2 Au 0.0000 0.5000 0.7500
Au3 Au 0.5000 0.0000 0.2500
Au4 Au 0.5000 0.5000 0.0000
```

The 8 most intense peaks (2θ = 15–90°), sorted by position:
- 2θ = 18.39°, rel. 380
- 2θ = 30.95°, rel. 1000
- 2θ = 33.77°, rel. 971
- 2θ = 42.66°, rel. 336
- 2θ = 44.34°, rel. 299
- 2θ = 46.45°, rel. 623
- 2θ = 66.63°, rel. 299
- 2θ = 83.60°, rel. 199

For LiOs2Au, a structure optimized by DFT (PBE) gives the simulated PXRD pattern in this record (Cu Kα X-rays).
Neutral-atom scattering factors, no anomalous dispersion.

Cell and atoms:
```
data_LiOs2Au
_space_group_name_H-M_alt 'P 1'
_space_group_IT_number 1
_cell_length_a 2.7468
_cell_length_b 3.8683
_cell_length_c 5.6257
_cell_angle_alpha 90.00
_cell_angle_beta 90.08
_cell_angle_gamma 90.00
loop_
_space_group_symop_operation_xyz
'x,y,z'
loop_
_atom_site_label
_atom_site_type_symbol
_atom_site_fract_x
_atom_site_fract_y
_atom_site_fract_z
Li1 Li 0.0000 0.0000 0.0000
Os1 Os 0.9997 0.0000 0.4712
Os2 Os 0.5003 0.5000 0.2916
Au1 Au 0.5005 0.5000 0.7981
```

The 8 most intense peaks (2θ = 15–90°), sorted by position:
- 2θ = 15.75°, rel. 438
- 2θ = 27.99°, rel. 294
- 2θ = 39.62°, rel. 862
- 2θ = 40.27°, rel. 1000
- 2θ = 46.19°, rel. 560
- 2θ = 46.98°, rel. 324
- 2θ = 52.21°, rel. 273
- 2θ = 68.01°, rel. 358

For LiTm3Ga3, a structure optimized by DFT (PBE) gives the simulated PXRD pattern in this record (Cu Kα X-rays).
Neutral-atom scattering factors, no anomalous dispersion.

Cell and atoms:
```
data_LiTm3Ga3
_space_group_name_H-M_alt 'P 1'
_space_group_IT_number 1
_cell_length_a 5.7543
_cell_length_b 5.7543
_cell_length_c 14.1192
_cell_angle_alpha 108.54
_cell_angle_beta 108.54
_cell_angle_gamma 44.15
loop_
_space_group_symop_operation_xyz
'x,y,z'
loop_
_atom_site_label
_atom_site_type_symbol
_atom_site_fract_x
_atom_site_fract_y
_atom_site_fract_z
Li1 Li 0.2419 0.2419 0.4042
Li2 Li 0.7581 0.7581 0.5958
Tm1 Tm 0.2594 0.2594 0.7783
Tm2 Tm 0.3973 0.3973 0.0773
Tm3 Tm 0.4681 0.4681 0.6206
Tm4 Tm 0.5319 0.5319 0.3794
Tm5 Tm 0.6027 0.6027 0.9227
Tm6 Tm 0.7406 0.7406 0.2217
Ga1 Ga 0.0310 0.0310 0.2309
Ga2 Ga 0.1129 0.1129 0.0745
Ga3 Ga 0.1253 0.1253 0.5523
Ga4 Ga 0.8747 0.8747 0.4477
Ga5 Ga 0.8871 0.8871 0.9255
Ga6 Ga 0.9690 0.9690 0.7691
```

The 8 most intense peaks (2θ = 15–90°), sorted by position:
- 2θ = 22.43°, rel. 154
- 2θ = 32.29°, rel. 333
- 2θ = 32.73°, rel. 1000
- 2θ = 33.64°, rel. 300
- 2θ = 37.31°, rel. 194
- 2θ = 40.00°, rel. 311
- 2θ = 41.77°, rel. 289
- 2θ = 54.66°, rel. 151

For PmPuIrBr, a structure optimized by DFT (PBE) gives the simulated PXRD pattern in this record (Cu Kα X-rays).
Neutral-atom scattering factors, no anomalous dispersion.

Cell and atoms:
```
data_PmPuIrBr
_space_group_name_H-M_alt 'P 1'
_space_group_IT_number 1
_cell_length_a 4.0432
_cell_length_b 4.0432
_cell_length_c 23.6026
_cell_angle_alpha 90.00
_cell_angle_beta 90.00
_cell_angle_gamma 120.00
loop_
_space_group_symop_operation_xyz
'x,y,z'
loop_
_atom_site_label
_atom_site_type_symbol
_atom_site_fract_x
_atom_site_fract_y
_atom_site_fract_z
Pm1 Pm 0.0000 0.0000 0.0000
Pm2 Pm 0.3333 0.6667 0.6667
Pm3 Pm 0.6667 0.3333 0.3333
Pu1 Pu 0.0000 0.0000 0.7973
Pu2 Pu 0.3333 0.6667 0.4640
Pu3 Pu 0.6667 0.3333 0.1306
Ir1 Ir 0.0000 0.0000 0.4032
Ir2 Ir 0.3333 0.6667 0.0698
Ir3 Ir 0.6667 0.3333 0.7365
Br1 Br 0.0000 0.0000 0.2344
Br2 Br 0.3333 0.6667 0.9010
Br3 Br 0.6667 0.3333 0.5677
```

The 8 most intense peaks (2θ = 15–90°), sorted by position:
- 2θ = 26.55°, rel. 376
- 2θ = 31.82°, rel. 1000
- 2θ = 37.01°, rel. 217
- 2θ = 39.96°, rel. 129
- 2θ = 44.83°, rel. 447
- 2θ = 46.39°, rel. 384
- 2θ = 56.02°, rel. 205
- 2θ = 74.45°, rel. 179

For Mn2Tl3SnCl9, a structure optimized by DFT (PBE) gives the simulated PXRD pattern in this record (Cu Kα X-rays).
Neutral-atom scattering factors, no anomalous dispersion.

Cell and atoms:
```
data_Mn2Tl3SnCl9
_space_group_name_H-M_alt 'P 1'
_space_group_IT_number 1
_cell_length_a 7.2947
_cell_length_b 7.2947
_cell_length_c 9.3750
_cell_angle_alpha 90.00
_cell_angle_beta 90.00
_cell_angle_gamma 120.00
loop_
_space_group_symop_operation_xyz
'x,y,z'
loop_
_atom_site_label
_atom_site_type_symbol
_atom_site_fract_x
_atom_site_fract_y
_atom_site_fract_z
Mn1 Mn 0.3333 0.6667 0.1641
Mn2 Mn 0.6667 0.3333 0.8359
Tl1 Tl 0.0000 0.0000 0.0000
Tl2 Tl 0.3333 0.6667 0.7274
Tl3 Tl 0.6667 0.3333 0.2726
Sn1 Sn 0.0000 0.0000 0.5000
Cl1 Cl 0.0000 0.5000 0.0000
Cl2 Cl 0.1703 0.3406 0.3077
Cl3 Cl 0.1703 0.8297 0.3077
Cl4 Cl 0.3406 0.1703 0.6923
Cl5 Cl 0.5000 0.0000 0.0000
Cl6 Cl 0.5000 0.5000 0.0000
Cl7 Cl 0.6594 0.8297 0.3077
Cl8 Cl 0.8297 0.1703 0.6923
Cl9 Cl 0.8297 0.6594 0.6923
```

The 8 most intense peaks (2θ = 15–90°), sorted by position:
- 2θ = 16.92°, rel. 308
- 2θ = 23.63°, rel. 1000
- 2θ = 24.40°, rel. 975
- 2θ = 29.85°, rel. 548
- 2θ = 34.23°, rel. 990
- 2θ = 42.49°, rel. 431
- 2θ = 42.95°, rel. 228
- 2θ = 50.01°, rel. 348

For BaCd3Cl8, a structure optimized by DFT (PBE) gives the simulated PXRD pattern in this record (Cu Kα X-rays).
Neutral-atom scattering factors, no anomalous dispersion.

Cell and atoms:
```
data_BaCd3Cl8
_space_group_name_H-M_alt 'P 1'
_space_group_IT_number 1
_cell_length_a 7.7562
_cell_length_b 7.7562
_cell_length_c 7.7562
_cell_angle_alpha 64.63
_cell_angle_beta 64.63
_cell_angle_gamma 64.63
loop_
_space_group_symop_operation_xyz
'x,y,z'
loop_
_atom_site_label
_atom_site_type_symbol
_atom_site_fract_x
_atom_site_fract_y
_atom_site_fract_z
Ba1 Ba 0.0000 0.0000 0.0000
Cd1 Cd 0.0000 0.5000 0.5000
Cd2 Cd 0.5000 0.0000 0.5000
Cd3 Cd 0.5000 0.5000 0.0000
Cl1 Cl 0.2544 0.2544 0.2544
Cl2 Cl 0.2639 0.2639 0.7047
Cl3 Cl 0.2639 0.7047 0.2639
Cl4 Cl 0.2953 0.7361 0.7361
Cl5 Cl 0.7047 0.2639 0.2639
Cl6 Cl 0.7361 0.2953 0.7361
Cl7 Cl 0.7361 0.7361 0.2953
Cl8 Cl 0.7456 0.7456 0.7456
```

The 8 most intense peaks (2θ = 15–90°), sorted by position:
- 2θ = 25.28°, rel. 688
- 2θ = 31.67°, rel. 1000
- 2θ = 35.00°, rel. 252
- 2θ = 42.78°, rel. 223
- 2θ = 43.66°, rel. 366
- 2θ = 46.25°, rel. 303
- 2θ = 47.09°, rel. 301
- 2θ = 54.94°, rel. 172